Simulated powder diffraction line list of CsNi2F6 for CuKα, from a cell relaxed with GGA+U.
Kinematic intensities with the Lorentz-polarization factor, no thermal factor.

Largest 10 diffraction maxima, in order of rising 2θ, 10 to 90 degrees two-theta:
two_theta, d_spacing, I_rel, h k l
24.5, 3.631, 44.9, 1 1 2
28.3, 3.158, 75.3, 1 2 1
28.9, 3.090, 100.0, 2 1 1
29.1, 3.064, 34.8, 1 0 3
29.6, 3.015, 22.8, 0 2 2
30.4, 2.938, 18.1, 2 0 2
45.1, 2.010, 28.7, 0 3 3
46.3, 1.959, 23.3, 3 0 3
48.6, 1.873, 14.8, 0 4 0
50.3, 1.815, 51.8, 2 2 4

Cell and atoms:
Lattice parameters (Å, degrees): 7.202 7.491 10.159 90.00 90.00 90.00
Space group Imma (No. 74)
Asymmetric unit:
Cs: 0.000 0.250 0.128
Ni: 0.000 0.000 0.500
Ni: 0.250 0.250 0.750
F: 0.000 0.250 0.429
F: 0.000 0.250 0.827
F: 0.186 0.052 0.622

Simulated powder diffraction line list of VP4O12 for CuKα, from a cell relaxed with GGA+U.
Kinematic intensities with the Lorentz-polarization factor, no thermal factor.

Largest 10 diffraction maxima, in order of rising 2θ, 10 to 90 degrees two-theta:
two_theta, d_spacing, I_rel, h k l
10.7, 8.297, 50.5, 2 0 0
14.1, 6.269, 100.0, 0 2 0
17.5, 5.061, 29.4, 3 1 0
18.5, 4.802, 28.5, 2 0 -1
22.4, 3.978, 38.7, 0 2 1
24.9, 3.579, 18.3, 4 0 -1
26.2, 3.398, 9.6, 2 2 1
26.8, 3.332, 14.7, 3 1 1
28.7, 3.109, 11.1, 4 2 -1
33.5, 2.678, 24.0, 0 4 1

Cell and atoms:
Lattice parameters (Å, degrees): 16.901 12.539 5.243 90.00 100.94 90.00
Space group C2/m (No. 12)
Asymmetric unit:
V: 0.250 0.250 0.000
P: 0.078 0.217 0.177
P: 0.187 0.380 0.463
O: 0.000 0.273 0.000
O: 0.063 0.120 0.314
O: 0.103 0.320 0.371
O: 0.143 0.217 0.003
O: 0.159 0.500 0.395
O: 0.213 0.371 0.754
O: 0.247 0.346 0.301

Simulated powder diffraction line list of Ti3CoSn2P6O24 for CuKα, from a cell relaxed with GGA+U.
Kinematic intensities with the Lorentz-polarization factor, no thermal factor.

Largest 10 diffraction maxima, in order of rising 2θ, 10 to 90 degrees two-theta:
two_theta, d_spacing, I_rel, h k l
20.5, 4.329, 99.3, 1 1 0
23.7, 3.755, 69.6, 2 -1 3
25.0, 3.559, 28.7, 2 0 2
31.5, 2.844, 100.0, 2 -1 6
32.6, 2.749, 22.6, 3 -2 2
35.9, 2.499, 35.7, 3 0 0
45.3, 2.002, 25.6, 1 2 8
48.5, 1.877, 34.4, 2 2 6
56.2, 1.636, 24.9, 1 4 0
61.8, 1.501, 22.8, 1 4 6

Cell and atoms:
Lattice parameters (Å, degrees): 8.6580 8.6580 22.6372 90.00 90.00 120.00
Space group R3 (No. 146, hexagonal axes)
Asymmetric unit:
Ti: 0.0000 0.0000 0.0000
Ti: 0.0000 0.0000 0.2075
Ti: 0.0000 0.0000 0.7006
Co: 0.0000 0.0000 0.5021
Sn: 0.0000 0.0000 0.3645
Sn: 0.0000 0.0000 0.8495
P: 0.0008 0.2898 0.6004
P: 0.0492 0.6701 0.7689
O: 0.0059 0.8184 0.0460
O: 0.0249 0.1897 0.2629
O: 0.0299 0.2130 0.5445
O: 0.0314 0.8408 0.7645
O: 0.1560 0.6858 0.8254
O: 0.1573 0.4696 0.3240
O: 0.1640 0.4803 0.6101
O: 0.1652 0.6950 0.1037

Simulated powder diffraction line list of VIn2O5 for CuKα, from a cell relaxed with GGA+U.
Kinematic intensities with the Lorentz-polarization factor, no thermal factor.

Largest 10 diffraction maxima, in order of rising 2θ, 10 to 90 degrees two-theta:
two_theta, d_spacing, I_rel, h k l
16.9, 5.238, 12.7, 1 0 2
27.1, 3.291, 17.6, 2 0 2
30.3, 2.954, 93.0, 2 0 3
30.8, 2.904, 100.0, 0 1 3
35.1, 2.557, 38.8, 2 1 0
36.0, 2.497, 19.2, 0 0 6
41.2, 2.191, 14.0, 1 1 5
51.1, 1.786, 66.5, 0 2 0
59.7, 1.549, 13.0, 4 1 3
60.6, 1.528, 22.9, 2 2 3

Cell and atoms:
Lattice parameters (Å, degrees): 7.327 3.569 14.985 90.00 90.00 90.00
Space group Pnma (No. 62)
Asymmetric unit:
V: 0.104 0.250 0.075
In: 0.104 0.250 0.418
In: 0.174 0.250 0.761
O: 0.058 0.750 0.324
O: 0.065 0.750 0.041
O: 0.130 0.750 0.849
O: 0.155 0.750 0.505
O: 0.233 0.250 0.176

Simulated powder diffraction line list of Na3NiO3 for CuKα, from a cell relaxed with GGA+U.
Kinematic intensities with the Lorentz-polarization factor, no thermal factor.

Largest 10 diffraction maxima, in order of rising 2θ, 10 to 90 degrees two-theta:
two_theta, d_spacing, I_rel, h k l
13.6, 6.496, 31.8, 1 1 0
22.2, 4.008, 100.0, 1 0 1
24.2, 3.674, 23.4, 1 1 1
34.2, 2.624, 91.7, 2 2 1
39.2, 2.297, 74.6, 4 0 0
40.5, 2.227, 59.9, 0 0 2
54.0, 1.698, 25.2, 5 0 1
56.7, 1.624, 15.5, 4 4 0
57.7, 1.599, 42.4, 4 0 2
67.9, 1.381, 28.9, 6 2 1

Cell and atoms:
Lattice parameters (Å, degrees): 9.186 9.186 4.455 90.00 90.00 90.00
Space group P4_2/mnm (No. 136)
Asymmetric unit:
Na: 0.127 0.371 0.000
Na: 0.149 0.851 0.000
Ni: 0.109 0.109 0.500
O: 0.093 0.907 0.500
O: 0.105 0.308 0.500

Simulated powder diffraction line list of Na3LiMnBPO7 for CuKα, from a cell relaxed with GGA+U.
Kinematic intensities with the Lorentz-polarization factor, no thermal factor.

Largest 10 diffraction maxima, in order of rising 2θ, 10 to 90 degrees two-theta:
two_theta, d_spacing, I_rel, h k l
15.9, 5.573, 61.9, 0 1 1
18.7, 4.736, 45.9, 1 0 -1
24.3, 3.659, 59.1, 1 0 -2
26.1, 3.419, 100.0, 0 2 0
32.1, 2.786, 44.0, 0 2 2
32.3, 2.772, 84.4, 1 2 -1
34.1, 2.631, 75.9, 2 0 0
40.3, 2.237, 48.7, 1 0 -4
42.3, 2.139, 40.5, 1 0 4
53.6, 1.710, 43.7, 0 4 0

Cell and atoms:
Lattice parameters (Å, degrees): 5.271 6.839 9.632 90.00 93.42 90.00
Space group P2_1/m (No. 11)
Asymmetric unit:
Na: 0.215 0.014 0.282
Na: 0.251 0.250 0.569
Li: 0.000 0.000 0.000
Mn: 0.293 0.750 0.820
B: 0.274 0.750 0.557
P: 0.320 0.250 0.922
O: 0.050 0.750 0.628
O: 0.186 0.250 0.065
O: 0.220 0.066 0.840
O: 0.276 0.750 0.415
O: 0.387 0.750 0.051
O: 0.500 0.250 0.358

Simulated powder diffraction line list of Li4Cr3Ni3Sn2O16 for CuKα, from a cell relaxed with GGA+U.
Kinematic intensities with the Lorentz-polarization factor, no thermal factor.

Largest 10 diffraction maxima, in order of rising 2θ, 10 to 90 degrees two-theta:
two_theta, d_spacing, I_rel, h k l
19.6, 4.536, 95.2, 2 0 -1
19.7, 4.501, 100.0, 2 0 1
25.3, 3.524, 36.1, 1 1 -2
32.8, 2.733, 45.0, 2 0 -3
33.0, 2.713, 27.1, 1 1 3
35.5, 2.531, 35.8, 3 1 -2
35.6, 2.520, 36.8, 0 2 2
35.9, 2.504, 38.6, 3 1 2
36.3, 2.478, 35.8, 2 2 -1
63.0, 1.476, 34.5, 6 2 0

Cell and atoms:
Lattice parameters (Å, degrees): 10.220 5.913 9.640 90.00 90.80 90.00
Space group Cm (No. 8)
Asymmetric unit:
Li: 0.000 0.000 0.000
Li: 0.001 0.000 0.499
Li: 0.165 0.500 0.599
Li: 0.333 0.000 0.103
Cr: 0.328 0.500 0.275
Cr: 0.411 0.246 0.777
Ni: 0.084 0.254 0.280
Ni: 0.168 0.000 0.781
Sn: 0.162 0.500 0.002
Sn: 0.332 0.000 0.498
O: 0.017 0.500 0.160
O: 0.073 0.242 0.894
O: 0.157 0.000 0.393
O: 0.176 0.500 0.386
O: 0.246 0.278 0.155
O: 0.263 0.230 0.657
O: 0.337 0.500 0.893
O: 0.348 0.000 0.887
O: 0.416 0.264 0.394
O: 0.482 0.000 0.656
O: 0.489 0.500 0.687
O: 0.492 0.500 0.189

Simulated powder diffraction line list of Ba2YMn3O7 for CuKα, from a cell relaxed with GGA+U.
Kinematic intensities with the Lorentz-polarization factor, no thermal factor.

Largest 10 diffraction maxima, in order of rising 2θ, 10 to 90 degrees two-theta:
two_theta, d_spacing, I_rel, h k l
31.4, 2.850, 91.0, 2 6 0
31.6, 2.835, 96.8, 2 0 1
32.1, 2.788, 100.0, 0 6 1
39.1, 2.306, 33.6, 2 6 1
44.2, 2.051, 34.4, 4 0 0
46.3, 1.961, 28.7, 0 0 2
55.6, 1.652, 39.7, 4 6 1
56.7, 1.624, 36.7, 2 12 1
57.0, 1.616, 32.8, 2 6 2
65.9, 1.418, 19.2, 4 0 2

Cell and atoms:
Lattice parameters (Å, degrees): 8.205 23.774 3.922 90.00 90.00 90.00
Space group Cmmm (No. 65)
Asymmetric unit:
Ba: 0.249 0.092 0.000
Y: 0.250 0.250 0.000
Mn: 0.000 0.000 0.500
Mn: 0.000 0.175 0.500
Mn: 0.000 0.329 0.500
Mn: 0.000 0.500 0.500
O: 0.000 0.085 0.500
O: 0.000 0.186 0.000
O: 0.000 0.304 0.000
O: 0.000 0.418 0.500
O: 0.235 0.500 0.500
O: 0.238 0.190 0.500

Simulated powder diffraction line list of MoO3 for CuKα, from a cell relaxed with GGA+U.
Kinematic intensities with the Lorentz-polarization factor, no thermal factor.

Largest 10 diffraction maxima, in order of rising 2θ, 10 to 90 degrees two-theta:
two_theta, d_spacing, I_rel, h k l
17.1, 5.199, 100.0, 2 0 0
24.7, 3.611, 62.5, 1 1 -1
26.1, 3.418, 48.2, 1 1 1
33.7, 2.656, 14.8, 3 1 -1
34.0, 2.638, 14.1, 0 2 0
34.5, 2.600, 14.7, 4 0 0
36.9, 2.436, 11.8, 3 1 1
38.2, 2.354, 8.6, 2 2 0
48.8, 1.864, 16.1, 0 2 2
50.5, 1.807, 11.6, 2 2 -2

Cell and atoms:
Lattice parameters (Å, degrees): 10.477 5.281 5.308 90.00 97.02 90.00
Space group Pc (No. 7)
Asymmetric unit:
Mo: 0.000 0.244 0.000
Mo: 0.501 0.253 0.401
O: 0.031 0.483 0.290
O: 0.054 0.007 0.774
O: 0.337 0.267 0.365
O: 0.539 0.008 0.135
O: 0.550 0.498 0.145
O: 0.837 0.212 0.958